Diffraction record for GaFe4Ni15. The X-ray powder pattern is calculated, not measured: it uses DFT lattice parameters and positions (GGA-PBE) and Cu Ka.

Peak list (5 most intense, 10 to 80 degrees two-theta, by intensity)
44.19°, rel. 100.0; 51.43°, rel. 31.1; 75.83°, rel. 17.7; 51.58°, rel. 15.3; 75.70°, rel. 9.0

Crystal structure
a b c (Å): 3.5534 3.5534 17.7184
angles (deg): 90.00 90.00 90.00
Sites, in units of the cell vectors:
Ga: 0.0000 0.0000 0.0000
Fe: 0.0000 0.0000 0.2003
Fe: 0.0000 0.0000 0.4000
Fe: 0.0000 0.0000 0.6000
Fe: 0.0000 0.0000 0.7997
Ni: 0.0000 0.5000 0.1030
Ni: 0.0000 0.5000 0.3009
Ni: 0.0000 0.5000 0.5000
Ni: 0.0000 0.5000 0.6991
Ni: 0.0000 0.5000 0.8970
Ni: 0.5000 0.0000 0.1030
Ni: 0.5000 0.0000 0.3009
Ni: 0.5000 0.0000 0.5000
Ni: 0.5000 0.0000 0.6991
Ni: 0.5000 0.0000 0.8970
Ni: 0.5000 0.5000 0.0000
Ni: 0.5000 0.5000 0.2016
Ni: 0.5000 0.5000 0.4004
Ni: 0.5000 0.5000 0.5996
Ni: 0.5000 0.5000 0.7984



Diffraction record for GaFeNiPd. The X-ray powder pattern is calculated, not measured: it uses DFT lattice parameters and positions (GGA-PBE) and Cu Ka.

Peak list (8 most intense, 10 to 80 degrees two-theta, by intensity)
42.80°, rel. 100.0; 78.39°, rel. 30.9; 62.13°, rel. 15.7; 25.82°, rel. 5.7; 50.66°, rel. 2.9; 29.90°, rel. 2.4; 68.43°, rel. 1.2; 70.46°, rel. 0.8

Crystal structure
a b c (Å): 4.2259 4.2259 4.2259
angles (deg): 60.00 60.00 60.00
Sites, in units of the cell vectors:
Ga: 0.0000 0.0000 0.0000
Fe: 0.5000 0.5000 0.5000
Ni: 0.7500 0.7500 0.7500
Pd: 0.2500 0.2500 0.2500



Diffraction record for Np4Ga16Fe3. The X-ray powder pattern is calculated, not measured: it uses DFT lattice parameters and positions (GGA-PBE) and Cu Ka.

Peak list (8 most intense, 10 to 80 degrees two-theta, by intensity)
38.49°, rel. 100.0; 41.94°, rel. 69.0; 33.67°, rel. 62.5; 20.62°, rel. 38.2; 32.14°, rel. 35.2; 60.26°, rel. 33.4; 41.21°, rel. 26.7; 74.31°, rel. 26.4

Crystal structure
a b c (Å): 6.0925 6.0925 10.9529
angles (deg): 90.00 90.00 90.00
Sites, in units of the cell vectors:
Np: 0.0000 0.5000 0.1942
Np: 0.0000 0.5000 0.8058
Np: 0.5000 0.0000 0.1942
Np: 0.5000 0.0000 0.8058
Ga: 0.0000 0.0000 0.1996
Ga: 0.0000 0.0000 0.8004
Ga: 0.2210 0.2210 0.0000
Ga: 0.2210 0.7790 0.0000
Ga: 0.2495 0.2495 0.3829
Ga: 0.2495 0.2495 0.6171
Ga: 0.2495 0.7505 0.3829
Ga: 0.2495 0.7505 0.6171
Ga: 0.5000 0.5000 0.2183
Ga: 0.5000 0.5000 0.7817
Ga: 0.7505 0.2495 0.3829
Ga: 0.7505 0.2495 0.6171
Ga: 0.7505 0.7505 0.3829
Ga: 0.7505 0.7505 0.6171
Ga: 0.7790 0.2210 0.0000
Ga: 0.7790 0.7790 0.0000
Fe: 0.0000 0.5000 0.5000
Fe: 0.5000 0.0000 0.5000
Fe: 0.5000 0.5000 0.0000